(1)
The following is a computed powder diffractogram of Ca3Zn3Ga8. It was derived from a structure optimized by DFT (GGA-PBE), using Cu Kα, 1.54184 Å.
Kinematic intensities with the Lorentz-polarization factor, no thermal factor.

Structure:
Cell: 4.3896 9.6532 12.8353 Å, 90.00 90.00 90.00°
Space group Immm (No. 71)
Asymmetric unit:
Ca1 0.0000 0.0000 0.0000 [2 per cell]
Ca2 0.0000 0.0000 0.2974 [4 per cell]
Zn1 0.0000 0.1768 0.5000 [4 per cell]
Zn2 0.0000 0.5000 0.0000 [2 per cell]
Ga1 0.0000 0.2843 0.1436 [8 per cell]
Ga2 0.0000 0.3649 0.3471 [8 per cell]

Most intense lines, 10 to 80 degrees two-theta, most intense first:
hkl  Position (°2θ)  I (rel.)
1 2 3  34.68  100
2 0 0  41.13  60
1 3 4  44.93  57
1 3 2  37.38  48
1 4 1  43.36  40
0 0 6  42.25  33
1 1 4  35.89  30
1 4 7  67.62  27
0 2 4  33.54  26
1 3 0  34.56  25

(2)
The following is a computed powder diffractogram of CaZn2Ga3. It was derived from a structure optimized by DFT (GGA-PBE), using Cu Kα, 1.54184 Å.
Kinematic intensities with the Lorentz-polarization factor, no thermal factor.

Structure:
Cell: 4.4679 7.4965 13.8942 Å, 90.00 90.00 90.00°
Space group Immm (No. 71)
Asymmetric unit:
Ca1 0.0000 0.0000 0.1326 [4 per cell]
Zn1 0.0000 0.3341 0.5000 [4 per cell]
Zn2 0.0000 0.5000 0.1934 [4 per cell]
Ga1 0.0000 0.1979 0.3293 [8 per cell]
Ga2 0.0000 0.3359 0.0000 [4 per cell]

Most intense lines, 10 to 80 degrees two-theta, most intense first:
hkl  Position (°2θ)  I (rel.)
1 2 3  36.83  100
1 3 2  43.49  94
2 0 0  40.37  70
0 0 6  38.89  55
1 1 4  34.84  55
1 2 1  31.82  40
1 3 8  69.14  39
2 0 6  57.31  34
1 3 4  49.33  24
0 1 3  22.57  21

(3)
The following is a computed powder diffractogram of Ca3Zn7Ga4. It was derived from a structure optimized by DFT (GGA-PBE), using Cu Kα, 1.54184 Å.
Kinematic intensities with the Lorentz-polarization factor, no thermal factor.

Structure:
Cell: 15.9971 4.3173 9.6787 Å, 90.00 127.23 90.00°
Space group C2/m (No. 12)
Asymmetric unit:
Ca1 0.0000 0.0000 0.0000 [2 per cell]
Ca2 0.1994 0.5000 0.7000 [4 per cell]
Zn1 0.0000 0.0000 0.5000 [2 per cell]
Zn2 0.0015 0.5000 0.6995 [4 per cell]
Zn3 0.1368 0.0000 0.8587 [4 per cell]
Zn4 0.1606 0.5000 0.2975 [4 per cell]
Ga1 0.1362 0.0000 0.4180 [4 per cell]
Ga2 0.1626 0.5000 0.0284 [4 per cell]

Most intense lines, 10 to 80 degrees two-theta, most intense first:
hkl  Position (°2θ)  I (rel.)
1 1 2  34.96  100
0 2 0  41.85  47
1 1 -3  37.56  36
7 1 -3  45.19  31
6 0 0  42.59  25
5 1 -4  43.46  23
2 0 -2  18.33  22
3 1 -3  34.71  21
6 0 -2  33.69  19
6 2 0  61.25  19

(4)
The following is a computed powder diffractogram of CaZn10Ga2. It was derived from a structure optimized by DFT (GGA-PBE), using Cu Kα, 1.54184 Å.
Kinematic intensities with the Lorentz-polarization factor, no thermal factor.

Structure:
Cell: 5.3358 6.8566 6.8886 Å, 81.73 67.39 68.22°
Space group P-1 (No. 2)
Asymmetric unit:
Ca1 0.0000 0.0000 0.0000 [1 per cell]
Zn1 0.0000 0.5000 0.0000 [1 per cell]
Zn2 0.0101 0.6360 0.3514 [2 per cell]
Zn3 0.2780 0.2204 0.2140 [2 per cell]
Zn4 0.3638 0.6364 0.6488 [2 per cell]
Zn5 0.4935 0.2210 0.7854 [2 per cell]
Zn6 0.5000 0.5000 0.0000 [1 per cell]
Ga1 0.0000 0.0000 0.5000 [1 per cell]
Ga2 0.5000 0.0000 0.5000 [1 per cell]

Most intense lines, 10 to 80 degrees two-theta, most intense first:
hkl  Position (°2θ)  I (rel.)
2 2 0  39.53  100
0 1 3  45.05  97
0 2 -2  40.13  87
0 2 2  40.03  67
2 0 0  39.02  66
2 3 1  44.76  43
2 1 3  44.40  38
2 1 -1  44.26  37
1 1 -2  39.91  34
2 -1 1  43.86  33

(5)
The following is a computed powder diffractogram of CaZnGa4. It was derived from a structure optimized by DFT (GGA-PBE), using Cu Kα, 1.54184 Å.
Kinematic intensities with the Lorentz-polarization factor, no thermal factor.

Structure:
Cell: 4.2608 16.2570 6.8219 Å, 90.00 90.00 90.00°
Space group Cmcm (No. 63)
Asymmetric unit:
Ca1 0.0000 0.1192 0.2500 [4 per cell]
Zn1 0.0000 0.2310 0.7500 [4 per cell]
Ga1 0.0000 0.0677 0.7500 [4 per cell]
Ga2 0.0000 0.3277 0.0564 [8 per cell]
Ga3 0.0000 0.5000 0.0000 [4 per cell]

Most intense lines, 10 to 80 degrees two-theta, most intense first:
hkl  Position (°2θ)  I (rel.)
1 1 2  34.12  100
1 5 1  37.20  50
0 6 2  42.61  47
2 0 0  42.43  42
1 5 0  34.71  36
2 6 2  61.70  30
1 1 3  45.56  28
0 2 1  16.97  26
1 7 0  44.43  21
3 1 2  72.26  17

(6)
The following is a computed powder diffractogram of CaZrGa. It was derived from a structure optimized by DFT (GGA-PBE), using Cu Kα, 1.54184 Å.
Kinematic intensities with the Lorentz-polarization factor, no thermal factor.

Structure:
Cell: 5.8130 7.8721 12.6844 Å, 90.00 90.00 90.00°
Space group Fmmm (No. 69)
Asymmetric unit:
Ca1 0.0000 0.1799 0.0000 [8 per cell]
Zr1 0.2500 0.2500 0.2500 [8 per cell]
Ga1 0.0000 0.0000 0.3776 [8 per cell]

Most intense lines, 10 to 80 degrees two-theta, most intense first:
hkl  Position (°2θ)  I (rel.)
0 2 4  36.38  100
2 0 2  33.93  62
2 2 2  41.15  52
1 1 3  28.46  47
2 2 0  38.50  45
1 3 1  38.30  40
0 0 2  13.96  31
2 4 4  64.27  29
0 2 2  26.65  29
1 1 1  20.24  28

(7)
The following is a computed powder diffractogram of CaGdHgGe. It was derived from a structure optimized by DFT (GGA-PBE), using Cu Kα, 1.54184 Å.
Kinematic intensities with the Lorentz-polarization factor, no thermal factor.

Structure:
Cell: 7.3978 7.3978 7.3978 Å, 90.00 90.00 90.00°
Space group F-43m (No. 216)
Asymmetric unit:
Ca1 0.0000 0.0000 0.0000 [4 per cell]
Gd1 0.0000 0.0000 0.5000 [4 per cell]
Hg1 0.2500 0.2500 0.2500 [4 per cell]
Ge1 0.2500 0.2500 0.7500 [4 per cell]

Most intense lines, 10 to 80 degrees two-theta, most intense first:
hkl  Position (°2θ)  I (rel.)
2 2 0  34.28  100
4 2 2  61.40  37
1 1 1  20.80  28
4 0 0  49.27  18
3 1 1  40.44  16
4 4 0  72.24  11
3 3 1  54.03  7
5 3 1  76.12  6
5 1 1  65.57  6
2 0 0  24.06  3

(8)
The following is a computed powder diffractogram of CaGd2Ge4O12. It was derived from a structure optimized by DFT (GGA-PBE), using Cu Kα, 1.54184 Å.
Kinematic intensities with the Lorentz-polarization factor, no thermal factor.

Structure:
Cell: 14.3981 14.4637 5.1479 Å, 90.00 90.00 90.00°
Space group Cmme (No. 67)
Asymmetric unit:
Ca1 0.0000 0.0000 0.0000 [4 per cell]
Gd1 0.2500 0.0000 0.0000 [4 per cell]
Gd2 0.2500 0.2500 0.0000 [4 per cell]
Ge1 0.1131 0.1360 0.4950 [16 per cell]
O1 0.0000 0.1300 0.6499 [8 per cell]
O2 0.1212 0.0565 0.2447 [16 per cell]
O3 0.1248 0.2500 0.3367 [8 per cell]
O4 0.1916 0.1344 0.7545 [16 per cell]

Most intense lines, 10 to 80 degrees two-theta, most intense first:
hkl  Position (°2θ)  I (rel.)
0 4 1  30.25  100
2 0 1  21.21  36
2 0 0  12.29  27
4 4 2  50.36  26
4 4 0  35.18  24
0 4 3  59.67  14
2 4 0  27.61  14
4 8 1  60.02  12
8 4 1  60.18  12
2 4 2  45.03  11

(9)
The following is a computed powder diffractogram of CaGdIn. It was derived from a structure optimized by DFT (GGA-PBE), using Cu Kα, 1.54184 Å.
Kinematic intensities with the Lorentz-polarization factor, no thermal factor.

Structure:
Cell: 3.6042 3.6042 14.3875 Å, 90.00 90.00 90.00°
Space group I4mm (No. 107)
Asymmetric unit:
Ca1 0.0000 0.0000 0.0000 [2 per cell]
Gd1 0.0000 0.0000 0.2945 [2 per cell]
In1 0.0000 0.0000 0.6520 [2 per cell]

Most intense lines, 10 to 80 degrees two-theta, most intense first:
hkl  Position (°2θ)  I (rel.)
1 0 3  31.04  100
0 0 2  12.30  39
1 1 0  35.21  38
2 1 3  60.61  28
0 0 6  37.47  23
1 1 6  52.38  22
1 0 5  40.10  19
2 0 0  50.65  13
1 0 1  25.48  13
2 0 6  64.71  9

(10)
The following is a computed powder diffractogram of CaTbGdIn. It was derived from a structure optimized by DFT (GGA-PBE), using Cu Kα, 1.54184 Å.
Kinematic intensities with the Lorentz-polarization factor, no thermal factor.

Structure:
Cell: 7.8051 7.8051 7.8051 Å, 90.00 90.00 90.00°
Space group F-43m (No. 216)
Asymmetric unit:
Ca1 0.0000 0.0000 0.0000 [4 per cell]
Tb1 0.2500 0.2500 0.2500 [4 per cell]
Gd1 0.2500 0.2500 0.7500 [4 per cell]
In1 0.0000 0.0000 0.5000 [4 per cell]

Most intense lines, 10 to 80 degrees two-theta, most intense first:
hkl  Position (°2θ)  I (rel.)
2 2 0  32.44  100
4 2 2  57.88  37
4 0 0  46.54  18
6 2 0  77.32  16
2 0 0  22.79  12
4 4 0  67.94  11
4 2 0  52.43  6
1 1 1  19.70  6
2 2 2  40.02  4
3 1 1  38.24  3

Repeat the ninth record exactly.
The following is a computed powder diffractogram of CaGdIn. It was derived from a structure optimized by DFT (GGA-PBE), using Cu Kα, 1.54184 Å.
Kinematic intensities with the Lorentz-polarization factor, no thermal factor.

Structure:
Cell: 3.6042 3.6042 14.3875 Å, 90.00 90.00 90.00°
Space group I4mm (No. 107)
Asymmetric unit:
Ca1 0.0000 0.0000 0.0000 [2 per cell]
Gd1 0.0000 0.0000 0.2945 [2 per cell]
In1 0.0000 0.0000 0.6520 [2 per cell]

Most intense lines, 10 to 80 degrees two-theta, most intense first:
hkl  Position (°2θ)  I (rel.)
1 0 3  31.04  100
0 0 2  12.30  39
1 1 0  35.21  38
2 1 3  60.61  28
0 0 6  37.47  23
1 1 6  52.38  22
1 0 5  40.10  19
2 0 0  50.65  13
1 0 1  25.48  13
2 0 6  64.71  9